No. 1
Simulated X-ray diffraction stick pattern of AlFeTcW for copper Kα, from a GGA-PBE-relaxed structure.

Atomic structure:
a = 4.266 Å, b = 4.266 Å, c = 4.266 Å
α = 60.00°, β = 60.00°, γ = 60.00°
Atoms (fractional coordinates):
1 Al 0.000 0.000 0.000
2 Fe 0.250 0.250 0.250
3 Tc 0.750 0.750 0.750
4 W 0.500 0.500 0.500

Peak list (8 most intense, 2θ from 5° to 70°, sorted by position)
3.483 Å, I 47
3.017 Å, I 2
2.133 Å, I 100
1.819 Å, I 24
1.742 Å, I 1
1.508 Å, I 16
1.384 Å, I 10
1.349 Å, I 1

***

No. 2
Simulated X-ray diffraction stick pattern of NdSb2Au for copper Kα, from a GGA-PBE-relaxed structure.

Atomic structure:
a = 4.468 Å, b = 4.468 Å, c = 10.280 Å
α = 90.00°, β = 90.00°, γ = 90.00°
Atoms (fractional coordinates):
1 Nd 0.250 0.250 0.246
2 Nd 0.750 0.750 0.754
3 Sb 0.250 0.250 0.679
4 Sb 0.250 0.750 0.000
5 Sb 0.750 0.250 0.000
6 Sb 0.750 0.750 0.321
7 Au 0.250 0.750 0.500
8 Au 0.750 0.250 0.500

Peak list (10 most intense, 2θ from 5° to 70°, sorted by position)
10.280 Å, I 27
2.692 Å, I 100
2.570 Å, I 14
2.323 Å, I 8
2.234 Å, I 35
1.686 Å, I 16
1.579 Å, I 14
1.506 Å, I 7
1.362 Å, I 24
1.346 Å, I 8